For Ba4Na2W2O11, a GGA+U-relaxed structure gives the calculated powder diffractogram in this record (λ = 1.5418 Å (Cu Kα)).
Peak positions follow from Bragg's law for the DFT cell and can differ from measured ones.

Top 10 peaks for 5 to 70 degrees two-theta, in order of rising 2θ:
2θ = 17.9°, d = 4.942 Å, I 96.7; 2θ = 29.3°, d = 3.048 Å, I 84.0; 2θ = 29.5°, d = 3.027 Å, I 83.5; 2θ = 29.7°, d = 3.005 Å, I 100.0; 2θ = 41.6°, d = 2.172 Å, I 22.4; 2θ = 42.2°, d = 2.139 Å, I 22.8; 2θ = 42.8°, d = 2.110 Å, I 25.8; 2θ = 51.9°, d = 1.760 Å, I 29.9; 2θ = 52.4°, d = 1.747 Å, I 35.2; 2θ = 52.8°, d = 1.735 Å, I 35.1

Cell and atoms:
Cell: 8.6879 8.4420 8.5573 Å, 90.00 90.00 90.00°
Space group Amm2 (No. 38)
Asymmetric unit:
1 Ba 0.2209 0.2481 0.0000 [8 per cell]
2 Na 0.0000 0.0000 0.7441 [2 per cell]
3 Na 0.5000 0.0000 0.2062 [2 per cell]
4 W 0.0000 0.0000 0.2484 [2 per cell]
5 W 0.5000 0.0000 0.7288 [2 per cell]
6 O 0.0000 0.0000 0.0172 [2 per cell]
7 O 0.0000 0.0000 0.4745 [2 per cell]
8 O 0.0000 0.2306 0.2429 [4 per cell]
9 O 0.2290 0.0000 0.2498 [4 per cell]
10 O 0.2771 0.0000 0.7176 [4 per cell]
11 O 0.5000 0.0000 0.9442 [2 per cell]
12 O 0.5000 0.1994 0.6278 [4 per cell]